(1)
For YSiBRh3, a structure optimized by DFT (PBE) gives the computed PXRD pattern in this record (Cu Kα (weighted mean of Kα1 and Kα2)).
Lines closer than 0.1° are merged.

Largest 10 diffraction maxima, by angle, 10 to 80 degrees two-theta:
- 26.0 deg, d = 3.430 Å, I = 21
- 32.2 deg, d = 2.783 Å, I = 68
- 37.8 deg, d = 2.381 Å, I = 100
- 42.1 deg, d = 2.145 Å, I = 52
- 46.4 deg, d = 1.956 Å, I = 43
- 53.4 deg, d = 1.715 Å, I = 16
- 57.9 deg, d = 1.594 Å, I = 24
- 64.7 deg, d = 1.441 Å, I = 15
- 67.3 deg, d = 1.392 Å, I = 35
- 68.2 deg, d = 1.375 Å, I = 21

Structure:
Unit cell a=5.499 b=5.499 c=3.430 alpha=90.00 beta=90.00 gamma=120.00
Positions (direct):
Y  0.000  0.000  0.000
Si  0.667  0.333  0.000
B  0.333  0.667  0.000
Rh  0.013  0.506  0.500
Rh  0.494  0.506  0.500
Rh  0.494  0.987  0.500

(2)
For MgMnTlV4S8, a structure optimized by DFT (PBE) gives the computed PXRD pattern in this record (Cu Kα (weighted mean of Kα1 and Kα2)).
Lines closer than 0.1° are merged.

Largest 10 diffraction maxima, by angle, 10 to 80 degrees two-theta:
- 16.0 deg, d = 5.538 Å, I = 46
- 20.0 deg, d = 4.432 Å, I = 79
- 20.4 deg, d = 4.351 Å, I = 42
- 28.7 deg, d = 3.113 Å, I = 42
- 30.3 deg, d = 2.946 Å, I = 56
- 33.0 deg, d = 2.718 Å, I = 100
- 34.1 deg, d = 2.626 Å, I = 50
- 41.1 deg, d = 2.195 Å, I = 40
- 46.4 deg, d = 1.957 Å, I = 51
- 52.9 deg, d = 1.730 Å, I = 46

Structure:
Unit cell a=3.461 b=9.003 c=9.328 alpha=75.37 beta=79.32 gamma=89.94
Positions (direct):
Mg  0.000  0.000  0.000
Mn  0.954  0.654  0.093
Tl  0.432  0.226  0.134
V  0.254  0.348  0.493
V  0.293  0.672  0.413
V  0.622  0.655  0.755
V  0.668  0.998  0.664
S  0.048  0.512  0.904
S  0.131  0.157  0.738
S  0.202  0.830  0.596
S  0.380  0.504  0.242
S  0.536  0.832  0.929
S  0.716  0.510  0.568
S  0.787  0.186  0.428
S  0.869  0.826  0.262

(3)
For Pr4Lu11S22, a structure optimized by DFT (PBE) gives the computed PXRD pattern in this record (Cu Kα (weighted mean of Kα1 and Kα2)).
Lines closer than 0.1° are merged.

Largest 10 diffraction maxima, by angle, 10 to 80 degrees two-theta:
- 23.7 deg, d = 3.755 Å, I = 79
- 24.4 deg, d = 3.646 Å, I = 100
- 26.6 deg, d = 3.353 Å, I = 62
- 27.6 deg, d = 3.234 Å, I = 48
- 27.9 deg, d = 3.203 Å, I = 63
- 31.7 deg, d = 2.821 Å, I = 62
- 34.2 deg, d = 2.624 Å, I = 53
- 42.4 deg, d = 2.133 Å, I = 55
- 44.5 deg, d = 2.037 Å, I = 35
- 46.3 deg, d = 1.960 Å, I = 42

Structure:
Unit cell a=19.525 b=19.525 c=11.269 alpha=91.35 beta=91.35 gamma=11.52
Positions (direct):
Pr  0.104  0.104  0.013
Pr  0.367  0.367  0.348
Pr  0.633  0.633  0.652
Pr  0.896  0.896  0.987
Lu  0.000  0.000  0.000
Lu  0.070  0.070  0.362
Lu  0.202  0.202  0.942
Lu  0.263  0.263  0.352
Lu  0.342  0.342  0.699
Lu  0.462  0.462  0.271
Lu  0.538  0.538  0.729
Lu  0.658  0.658  0.301
Lu  0.737  0.737  0.648
Lu  0.798  0.798  0.058
Lu  0.930  0.930  0.638
S  0.008  0.008  0.240
S  0.087  0.087  0.753
S  0.135  0.135  0.451
S  0.169  0.169  0.153
S  0.190  0.190  0.692
S  0.255  0.255  0.119
S  0.280  0.280  0.589
S  0.350  0.350  0.092
S  0.407  0.407  0.786
S  0.445  0.445  0.494
S  0.454  0.454  0.032
S  0.546  0.546  0.968
S  0.555  0.555  0.506
S  0.593  0.593  0.214
S  0.650  0.650  0.908
S  0.720  0.720  0.411
S  0.745  0.745  0.881
S  0.810  0.810  0.308
S  0.831  0.831  0.847
S  0.865  0.865  0.549
S  0.913  0.913  0.247
S  0.992  0.992  0.760